Simulated X-ray powder pattern
Compound: Na4Ca
Radiation: Cu Kα (weighted mean of Kα1 and Kα2)
Structure: a cell relaxed with PBE
Kinematic intensities with the Lorentz-polarization factor, no thermal factor.

Most intense lines, 15° ≤ 2θ ≤ 90°, by angle:
d/Å	Rel. int.	hkl
3.007	100.0	1 1 5
2.996	19.7	0 0 10
2.125	21.2	2 0 0
1.737	21.4	2 2 0
1.732	21.0	2 0 10
1.503	8.3	2 2 10
1.345	8.1	3 1 5
1.344	5.3	1 3 15
1.137	5.7	3 3 5
1.135	5.5	3 1 15

Crystal structure
a b c (Å): 4.2510 6.0248 29.9600
angles (deg): 90.00 90.00 90.00
Space group Fmmm (No. 69)
One atom of each set of equivalent atoms:
Na1 0.0000 0.0000 0.1018 x8
Na2 0.0000 0.0000 0.2987 x8
Ca1 0.0000 0.0000 0.5000 x4